Starting from a DFT-relaxed cell (PBE, Alexandria), the powder X-ray diffraction pattern of Pm3TmHg7 was simulated for Cu Kα X-rays.
Peak positions follow from Bragg's law for the DFT cell and can differ from measured ones.

```
Pm3TmHg7
1.0
1.774 -10.799 0.000
1.774 10.799 0.000
0.000 0.000 15.507
Pm Tm Hg
6 2 14
Cartesian
1.774 8.305 8.066
1.774 8.305 15.193
1.774 5.600 3.877
1.774 -5.600 11.630
1.774 -8.305 0.313
1.774 -8.305 7.440
1.774 10.428 3.877
1.774 -10.428 11.630
1.774 5.303 8.968
1.774 5.303 14.292
1.774 2.661 10.184
1.774 2.661 13.076
1.774 2.373 3.877
1.774 0.084 1.429
1.774 0.084 6.324
1.774 -0.084 9.183
1.774 -0.084 14.077
1.774 -2.373 11.630
1.774 -2.661 2.430
1.774 -2.661 5.323
1.774 -5.303 1.215
1.774 -5.303 6.539
```

Top 6 peaks for 2θ from 10° to 80°, by angle:
Position (°2θ)  I_rel
30.36  57
30.85  88
33.18  100
34.52  48
34.70  99
38.63  86